For Ca2Ta2O6F, a cell relaxed with GGA-PBE gives the computed powder diffractogram in this record (Cu Kα).
Lines closer than 0.1° are merged.

Top 12 peaks for 2θ = 10–90°, by intensity:
2θ (°)	d [Å]	I (rel.)
29.75	3.003	100.0
14.75	6.007	50.6
49.56	1.839	50.0
58.88	1.568	42.8
28.45	3.137	40.8
34.48	2.601	29.4
80.48	1.193	17.3
83.02	1.163	13.3
45.29	2.002	13.2
52.00	1.759	12.3
69.38	1.354	10.9
61.78	1.502	9.3

Atomic structure:
```
Ca2Ta2O6F
1.0
0.0000 5.2020 5.2020
5.2020 0.0000 5.2020
5.2020 5.2020 0.0000
Ca Ta O F
4 4 12 2
direct
0.0000 0.0000 0.0000
0.0000 0.0000 0.5000
0.0000 0.5000 0.0000
0.5000 0.0000 0.0000
0.0000 0.5000 0.5000
0.5000 0.0000 0.5000
0.5000 0.5000 0.0000
0.5000 0.5000 0.5000
0.1652 0.1652 0.5848
0.1652 0.5848 0.1652
0.1652 0.5848 0.5848
0.4152 0.4152 0.8348
0.4152 0.8348 0.4152
0.4152 0.8348 0.8348
0.5848 0.1652 0.1652
0.5848 0.1652 0.5848
0.5848 0.5848 0.1652
0.8348 0.4152 0.4152
0.8348 0.4152 0.8348
0.8348 0.8348 0.4152
0.1250 0.1250 0.1250
0.8750 0.8750 0.8750
```



For Er2Si5Ru3, a cell relaxed with GGA-PBE gives the computed powder diffractogram in this record (Cu Kα).
Lines closer than 0.1° are merged.

Top 12 peaks for 2θ = 10–90°, by intensity:
2θ (°)	d [Å]	I (rel.)
35.55	2.525	100.0
44.06	2.055	52.2
34.96	2.566	38.6
37.25	2.414	36.8
23.55	3.777	36.0
23.85	3.730	26.3
29.42	3.036	23.3
59.42	1.555	22.5
32.05	2.792	21.4
56.24	1.636	19.0
34.25	2.618	16.8
41.62	2.170	16.7

Atomic structure:
```
Er2Si5Ru3
1.0
-4.8011 6.0722 2.7923
4.8011 -6.0722 2.7923
4.8011 6.0722 -2.7923
Er Si Ru
4 10 6
direct
0.1360 0.2323 0.3683
0.3640 0.7323 0.0963
0.6360 0.2677 0.9037
0.8640 0.7677 0.6317
0.0428 0.7500 0.2928
0.0951 0.6700 0.7651
0.2500 0.2500 0.0000
0.4049 0.1700 0.5749
0.4572 0.7500 0.7072
0.5428 0.2500 0.2928
0.5951 0.8300 0.4251
0.7500 0.7500 0.0000
0.9049 0.3300 0.2349
0.9572 0.2500 0.7072
0.1466 0.9076 0.0542
0.2500 0.7500 0.5000
0.3534 0.4076 0.7611
0.6466 0.5924 0.2389
0.7500 0.2500 0.5000
0.8534 0.0924 0.9458
```



For PrTeCl, a cell relaxed with GGA-PBE gives the computed powder diffractogram in this record (Cu Kα).
Lines closer than 0.1° are merged.

Top 12 peaks for 2θ = 10–90°, by intensity:
2θ (°)	d [Å]	I (rel.)
27.98	3.189	100.0
35.51	2.528	74.8
38.18	2.357	72.7
29.26	3.053	67.6
39.98	2.255	66.0
56.47	1.630	46.4
30.02	2.977	38.4
50.30	1.814	29.7
73.99	1.281	28.4
59.37	1.557	27.4
21.43	4.147	25.6
57.82	1.595	21.9

Atomic structure:
```
PrTeCl
1.0
4.5105 0.0000 0.0000
0.0000 4.5105 0.0000
0.0000 0.0000 8.2936
Pr Te Cl
2 2 2
direct
0.2500 0.2500 0.2400
0.7500 0.7500 0.7600
0.2500 0.2500 0.6350
0.7500 0.7500 0.3650
0.2500 0.7500 0.0000
0.7500 0.2500 0.0000
```



For Mg3Ru, a cell relaxed with GGA-PBE gives the computed powder diffractogram in this record (Cu Kα).
Lines closer than 0.1° are merged.

Top 12 peaks for 2θ = 10–90°, by intensity:
2θ (°)	d [Å]	I (rel.)
37.79	2.381	100.0
24.27	3.667	59.5
44.58	2.033	30.9
77.59	1.230	22.6
20.91	4.248	21.4
63.33	1.468	20.9
42.56	2.124	17.7
38.75	2.324	17.2
31.11	2.874	15.7
51.40	1.778	15.0
74.73	1.270	12.6
80.73	1.190	10.1

Atomic structure:
```
Mg3Ru
1.0
-2.0325 2.0325 4.2480
2.0325 -2.0325 4.2480
2.0325 2.0325 -4.2480
Mg Ru
3 1
direct
0.0000 0.0000 0.0000
0.2500 0.7500 0.5000
0.7500 0.2500 0.5000
0.5000 0.5000 0.0000
```



For ScCu3, a cell relaxed with GGA-PBE gives the computed powder diffractogram in this record (Cu Kα).
Lines closer than 0.1° are merged.

Top 6 peaks for 2θ = 10–90°, by intensity:
2θ (°)	d [Å]	I (rel.)
41.86	2.158	100.0
76.44	1.246	29.1
60.68	1.526	15.3
25.27	3.524	2.3
49.52	1.841	1.2
29.26	3.052	1.2

Atomic structure:
```
ScCu3
1.0
0.0000 3.0523 3.0523
3.0523 0.0000 3.0523
3.0523 3.0523 0.0000
Sc Cu
1 3
direct
0.0000 0.0000 0.0000
0.2500 0.2500 0.2500
0.5000 0.5000 0.5000
0.7500 0.7500 0.7500
```



Please write out number 4 again, unchanged.
For Mg3Ru, a cell relaxed with GGA-PBE gives the computed powder diffractogram in this record (Cu Kα).
Lines closer than 0.1° are merged.

Top 12 peaks for 2θ = 10–90°, by intensity:
2θ (°)	d [Å]	I (rel.)
37.79	2.381	100.0
24.27	3.667	59.5
44.58	2.033	30.9
77.59	1.230	22.6
20.91	4.248	21.4
63.33	1.468	20.9
42.56	2.124	17.7
38.75	2.324	17.2
31.11	2.874	15.7
51.40	1.778	15.0
74.73	1.270	12.6
80.73	1.190	10.1

Atomic structure:
```
Mg3Ru
1.0
-2.0325 2.0325 4.2480
2.0325 -2.0325 4.2480
2.0325 2.0325 -4.2480
Mg Ru
3 1
direct
0.0000 0.0000 0.0000
0.2500 0.7500 0.5000
0.7500 0.2500 0.5000
0.5000 0.5000 0.0000
```